Starting from a cell relaxed with GGA-PBE, the X-ray powder pattern of KMg14V was calculated for Cu Kα, 1.54184 Å.
Peak positions follow from Bragg's law for the DFT cell and can differ from measured ones.

Peak list (8 most intense, 2θ from 5° to 70°, by intensity)
2θ (°)	Rel. int.	(hkl)
36.14	100	2 2 2
36.54	47	2 0 4
34.26	38	4 0 0
31.69	24	0 2 2
68.22	18	4 2 6
62.58	18	6 2 2
57.00	16	0 2 6
47.36	15	4 2 2

Crystal structure
```
data_KMg14V
_cell_length_a 10.4684
_cell_length_b 6.5517
_cell_length_c 11.1438
_cell_angle_alpha 90.00
_cell_angle_beta 90.00
_cell_angle_gamma 90.00
_space_group_name_H-M_alt 'A m m 2'
_space_group_IT_number 38
_space_group_name_Hall 'A 2 -2'
loop_
_atom_site_label
_atom_site_fract_x
_atom_site_fract_y
_atom_site_fract_z
_atom_site_occupancy
K1 0.0000 0.0000 0.0000 1
Mg1 0.0000 0.2472 0.2509 1
Mg2 0.2417 0.0000 0.6638 1
Mg3 0.2569 0.2384 0.4164 1
Mg4 0.2632 0.0000 0.1717 1
Mg5 0.5000 0.0000 0.5006 1
Mg6 0.5000 0.0000 0.9990 1
Mg7 0.5000 0.2475 0.7502 1
V1 0.0000 0.0000 0.4955 1
```

Starting from a cell relaxed with GGA-PBE, the X-ray powder pattern of Tb2PdRu was calculated for Cu Kα, 1.54184 Å.
Peak positions follow from Bragg's law for the DFT cell and can differ from measured ones.

Peak list (6 most intense, 2θ from 5° to 70°, by intensity)
2θ (°)	Rel. int.	(hkl)
36.65	100	2 2 0
65.99	35	4 2 2
52.80	17	4 0 0
25.69	5	2 0 0
59.62	2	4 2 0
45.29	1	2 2 2

Crystal structure
```
data_Tb2PdRu
_cell_length_a 6.9356
_cell_length_b 6.9356
_cell_length_c 6.9356
_cell_angle_alpha 90.00
_cell_angle_beta 90.00
_cell_angle_gamma 90.00
_space_group_name_H-M_alt 'F m -3 m'
_space_group_IT_number 225
_space_group_name_Hall '-F 4 2 3'
loop_
_atom_site_label
_atom_site_fract_x
_atom_site_fract_y
_atom_site_fract_z
_atom_site_occupancy
Tb1 0.2500 0.2500 0.2500 1
Pd1 0.0000 0.0000 0.0000 1
Ru1 0.0000 0.0000 0.5000 1
```

Starting from a cell relaxed with GGA-PBE, the X-ray powder pattern of ZnCu2Ni was calculated for Cu Kα, 1.54184 Å.
Peak positions follow from Bragg's law for the DFT cell and can differ from measured ones.

Peak list (3 most intense, 2θ from 5° to 70°, by intensity)
2θ (°)	Rel. int.	(hkl)
43.21	100	1 1 1
50.79	30	2 0 0
49.39	17	0 0 2

Crystal structure
```
data_ZnCu2Ni
_cell_length_a 3.5951
_cell_length_b 3.5951
_cell_length_c 3.6906
_cell_angle_alpha 90.00
_cell_angle_beta 90.00
_cell_angle_gamma 90.00
_space_group_name_H-M_alt 'P 4/m m m'
_space_group_IT_number 123
_space_group_name_Hall '-P 4 2'
loop_
_atom_site_label
_atom_site_fract_x
_atom_site_fract_y
_atom_site_fract_z
_atom_site_occupancy
Zn1 0.0000 0.0000 0.0000 1
Cu1 0.0000 0.5000 0.5000 1
Ni1 0.5000 0.5000 0.0000 1
```

Starting from a cell relaxed with GGA-PBE, the X-ray powder pattern of Y2InAu2 was calculated for Cu Kα, 1.54184 Å.
Peak positions follow from Bragg's law for the DFT cell and can differ from measured ones.

Peak list (8 most intense, 2θ from 5° to 70°, by intensity)
2θ (°)	Rel. int.	(hkl)
34.75	100	2 1 1
35.31	46	3 1 0
23.98	19	0 0 1
61.93	18	3 1 2
43.14	17	3 1 1
47.59	15	3 2 1
67.66	15	5 2 1
24.77	15	2 1 0

Crystal structure
```
data_Y2InAu2
_cell_length_a 8.0375
_cell_length_b 8.0375
_cell_length_c 3.7102
_cell_angle_alpha 90.00
_cell_angle_beta 90.00
_cell_angle_gamma 90.00
_space_group_name_H-M_alt 'P 4/m b m'
_space_group_IT_number 127
_space_group_name_Hall '-P 4 2ab'
loop_
_atom_site_label
_atom_site_fract_x
_atom_site_fract_y
_atom_site_fract_z
_atom_site_occupancy
Y1 0.1703 0.3297 0.0000 1
In1 0.0000 0.0000 0.5000 1
Au1 0.1278 0.6278 0.5000 1
```